[1]
Ba5Ag2Pd: theoretical powder X-ray diffraction pattern (Cu Kα X-rays), based on a crystal structure in Alexandria, relaxed with GGA-PBE.

Largest 10 diffraction maxima, by intensity, 2θ from 10° to 90°:
| d_spacing | Position (°2θ) | I/Imax |
| --- | --- | --- |
| 3.518 | 25.32 | 100 |
| 2.784 | 32.15 | 73 |
| 3.622 | 24.58 | 61 |
| 3.147 | 28.36 | 61 |
| 3.341 | 26.68 | 57 |
| 3.504 | 25.42 | 46 |
| 2.808 | 31.87 | 40 |
| 3.091 | 28.88 | 39 |
| 2.394 | 37.57 | 37 |
| 2.954 | 30.25 | 36 |

```
16
Lattice="9.8931 -3.9703 0.0000 9.8931 3.9703 0.0000 -1.1471 0.0000 8.8452" Properties=species:S:1:pos:R:3 pbc="T T T"
Ba 9.0328 3.3535 6.6339
Ba 3.8805 0.6172 2.7120
Ba 3.3069 -0.6172 7.1346
Ba 7.8819 0.8695 0.6916
Ba 11.3308 0.8695 3.7310
Ba 7.3084 -0.8695 5.1142
Ba 10.7572 -0.8695 8.1536
Ba 15.3323 0.6172 1.7106
Ba 14.7587 -0.6172 6.1332
Ba 9.6064 -3.3535 2.2113
Ag 7.4044 2.3606 3.7730
Ag 11.8083 2.3606 0.6496
Ag 6.8309 -2.3606 8.1956
Ag 11.2347 -2.3606 5.0722
Pd 4.9466 1.9852 0.0000
Pd 4.3730 -1.9852 4.4226
```

[2]
BaAg3Pd: theoretical powder X-ray diffraction pattern (Cu Kα X-rays), based on a crystal structure in Alexandria, relaxed with GGA-PBE.

Largest 10 diffraction maxima, by intensity, 2θ from 10° to 90°:
| d_spacing | Position (°2θ) | I/Imax |
| --- | --- | --- |
| 2.661 | 33.68 | 100 |
| 2.122 | 42.60 | 40 |
| 2.708 | 33.08 | 26 |
| 1.674 | 54.84 | 24 |
| 3.046 | 29.32 | 23 |
| 1.708 | 53.66 | 20 |
| 2.236 | 40.33 | 20 |
| 3.416 | 26.08 | 18 |
| 1.240 | 76.89 | 12 |
| 1.876 | 48.52 | 11 |

```
10
Lattice="6.8323 0.0000 0.0000 -3.4162 5.9169 0.0000 0.0000 0.0000 6.0913" Properties=species:S:1:pos:R:3 pbc="T T T"
Ba 0.0000 3.9446 1.5228
Ba 3.4162 1.9723 4.5685
Ag 0.0000 2.3014 4.5685
Ag -1.4231 4.7662 4.5685
Ag 1.9931 1.1507 1.5228
Ag 1.4231 4.7662 4.5685
Ag 4.8392 1.1507 1.5228
Ag 3.4162 3.6155 1.5228
Pd 0.0000 0.0000 0.0000
Pd 0.0000 0.0000 3.0457
```

[3]
Ba6AgPd3: theoretical powder X-ray diffraction pattern (Cu Kα X-rays), based on a crystal structure in Alexandria, relaxed with GGA-PBE.

Largest 10 diffraction maxima, by intensity, 2θ from 10° to 90°:
| d_spacing | Position (°2θ) | I/Imax |
| --- | --- | --- |
| 3.444 | 25.87 | 100 |
| 3.345 | 26.65 | 96 |
| 3.140 | 28.42 | 77 |
| 2.351 | 38.29 | 73 |
| 2.577 | 34.81 | 39 |
| 1.924 | 47.24 | 39 |
| 3.308 | 26.95 | 35 |
| 2.906 | 30.77 | 32 |
| 2.462 | 36.50 | 32 |
| 3.164 | 28.20 | 29 |

```
20
Lattice="13.4212 0.0000 0.0000 0.0000 4.7018 0.0000 -4.5310 0.0000 12.8357" Properties=species:S:1:pos:R:3 pbc="T T T"
Ba -1.3122 1.1755 5.0272
Ba -2.8121 1.1755 12.1246
Ba 1.7871 3.5264 3.3773
Ba 0.4361 3.5264 9.7129
Ba 2.6097 1.1755 6.8933
Ba 5.3060 3.5264 1.1840
Ba 3.5842 1.1755 11.6517
Ba 6.2805 3.5264 5.9424
Ba 8.4540 1.1755 3.1228
Ba 7.1030 1.1755 9.4584
Ba 11.7023 3.5264 0.7110
Ba 10.2024 3.5264 7.8085
Ag 4.6308 1.1755 3.8587
Ag 4.2593 3.5264 8.9770
Pd -0.0099 1.1755 2.1095
Pd 0.3562 3.5264 6.3980
Pd 0.4229 1.1755 11.8344
Pd 8.4673 3.5264 1.0013
Pd 8.5339 1.1755 6.4377
Pd 8.9000 3.5264 10.7262
```

[4]
BaAg9Pd3: theoretical powder X-ray diffraction pattern (Cu Kα X-rays), based on a crystal structure in Alexandria, relaxed with GGA-PBE.

Largest 10 diffraction maxima, by intensity, 2θ from 10° to 90°:
| d_spacing | Position (°2θ) | I/Imax |
| --- | --- | --- |
| 2.392 | 37.61 | 100 |
| 2.399 | 37.49 | 91 |
| 2.154 | 41.95 | 73 |
| 2.405 | 37.39 | 70 |
| 2.423 | 37.10 | 49 |
| 2.136 | 42.32 | 46 |
| 2.141 | 42.21 | 35 |
| 2.379 | 37.81 | 34 |
| 2.168 | 41.65 | 32 |
| 2.782 | 32.17 | 30 |

```
13
Lattice="2.7931 -6.7767 0.0000 2.7931 6.7767 0.0000 -2.6883 0.0000 6.7521" Properties=species:S:1:pos:R:3 pbc="T T T"
Ba 0.0000 0.0000 0.0000
Ag 0.1483 4.3704 4.3908
Ag 0.0844 1.5434 5.2301
Ag 2.7495 4.3704 2.3613
Ag 2.8135 1.5434 1.5220
Ag 1.4489 0.0000 3.3761
Ag 0.0844 -1.5434 5.2301
Ag 0.1483 -4.3704 4.3908
Ag 2.8135 -1.5434 1.5220
Ag 2.7495 -4.3704 2.3613
Pd -1.3441 0.0000 3.3761
Pd 1.3965 3.3883 0.0000
Pd 1.3965 -3.3883 0.0000
```